This entry pairs a crystal structure of USnI6 with its computed powder X-ray diffraction pattern. Radiation: copper Kα. Structure: a cell relaxed with GGA-PBE.

Most intense lines, 2θ = 10–80°, low angle first:
2θ (°)  I_rel
13.3  21.4
18.3  45.3
26.4  100.0
29.6  14.0
34.4  62.6
38.0  16.0
40.7  44.8
44.9  23.7
49.1  17.1
54.3  16.2
67.5  19.1
70.0  15.3

```
USnI6
1.0
7.682 0.000 0.000
-3.841 6.653 0.000
0.000 0.000 14.222
U Sn I
2 2 12
Direct
0.000 0.000 0.000
0.000 0.000 0.500
0.333 0.667 0.250
0.667 0.333 0.750
0.008 0.326 0.878
0.008 0.682 0.622
0.318 0.326 0.622
0.318 0.992 0.878
0.326 0.008 0.378
0.326 0.318 0.122
0.674 0.682 0.878
0.674 0.992 0.622
0.682 0.008 0.122
0.682 0.674 0.378
0.992 0.318 0.378
0.992 0.674 0.122
```



This entry pairs a crystal structure of Sr3YI9 with its computed powder X-ray diffraction pattern. Radiation: copper Kα. Structure: a cell relaxed with GGA-PBE.

Most intense lines, 2θ = 10–80°, low angle first:
2θ (°)  I_rel
24.3  51.0
25.5  47.6
26.5  30.0
27.0  100.0
27.5  52.9
28.1  70.1
28.7  39.2
30.9  38.7
31.6  50.1
31.8  82.4
34.1  34.4
34.2  50.7

```
Sr3YI9
1.0
8.356 0.000 0.000
0.000 7.714 0.000
-0.980 0.000 32.971
Sr Y I
12 4 36
Direct
0.000 0.001 0.000
0.000 0.999 0.500
0.468 0.482 0.260
0.468 0.518 0.760
0.509 0.473 0.500
0.509 0.527 0.000
0.588 0.020 0.382
0.588 0.980 0.882
0.622 0.015 0.622
0.622 0.985 0.122
0.970 0.033 0.259
0.970 0.967 0.759
0.100 0.481 0.385
0.100 0.519 0.885
0.128 0.453 0.625
0.128 0.547 0.125
0.142 0.392 0.985
0.142 0.608 0.485
0.145 0.327 0.798
0.145 0.673 0.298
0.186 0.295 0.199
0.186 0.705 0.699
0.281 0.201 0.323
0.281 0.799 0.823
0.284 0.180 0.439
0.284 0.820 0.939
0.291 0.184 0.564
0.291 0.816 0.064
0.375 0.246 0.681
0.375 0.754 0.181
0.427 0.352 0.093
0.427 0.648 0.593
0.444 0.384 0.894
0.444 0.616 0.394
0.625 0.119 0.993
0.625 0.881 0.493
0.641 0.158 0.791
0.641 0.842 0.291
0.689 0.234 0.203
0.689 0.766 0.703
0.811 0.323 0.325
0.811 0.677 0.825
0.812 0.309 0.440
0.812 0.691 0.940
0.822 0.299 0.563
0.822 0.701 0.063
0.894 0.255 0.680
0.894 0.745 0.180
0.941 0.167 0.895
0.941 0.833 0.395
0.950 0.216 0.093
0.950 0.784 0.593
```